Computed powder diffractogram of AcNd7Tm4 for a wavelength of 1.5418 Å, from a structure optimized by DFT (PBE).
Neutral-atom scattering factors, no anomalous dispersion.

Peak list (12 most intense, 5 to 70 degrees two-theta, by angle)
h k l	Position (°2θ)	d (Å)	I/Imax
1 2 0	28.27	3.157	402
0 0 3	30.51	2.930	512
2 0 -2	31.23	2.864	1000
2 0 1	32.89	2.723	945
1 2 -3	39.37	2.289	133
1 2 3	44.64	2.030	144
3 2 -1	49.66	1.836	397
2 0 -5	53.59	1.710	202
2 0 4	56.81	1.620	214
3 2 -4	59.42	1.556	386
2 4 -2	59.84	1.546	157
2 4 1	60.85	1.522	161

Structural model:
```
data_AcNd7Tm4
_chemical_formula_sum 'Ac1 Nd7 Tm4'
_space_group_name_H-M_alt 'P -1'
_space_group_IT_number 2
_cell_length_a 6.3586
_cell_length_b 7.3456
_cell_length_c 9.0418
_cell_angle_alpha 90.07
_cell_angle_beta 103.58
_cell_angle_gamma 90.01
loop_
_space_group_symop_operation_xyz
'x,y,z'
'-x,-y,-z'
loop_
_atom_site_label
_atom_site_type_symbol
_atom_site_fract_x
_atom_site_fract_y
_atom_site_fract_z
Ac1 Ac 0.0000 0.0000 0.0000
Nd1 Nd 0.0000 0.5000 0.0000
Nd2 Nd 0.2259 0.0001 0.6614
Nd3 Nd 0.2835 0.7450 0.3385
Nd4 Nd 0.5003 0.2572 0.0030
Tm1 Tm 0.2166 0.4997 0.6633
Tm2 Tm 0.2784 0.2587 0.3366
```

=====

Computed powder diffractogram of Ac2Nd5YTm for a wavelength of 1.5418 Å, from a structure optimized by DFT (PBE).
Neutral-atom scattering factors, no anomalous dispersion.

Peak list (12 most intense, 5 to 70 degrees two-theta, by angle)
h k l	Position (°2θ)	d (Å)	I/Imax
0 6 1	25.03	3.558	71
1 3 2	26.10	3.415	200
1 5 2	30.54	2.928	1000
0 8 0	31.52	2.838	115
2 0 0	31.81	2.813	286
0 0 4	34.37	2.609	139
2 8 0	45.39	1.998	85
0 8 4	47.33	1.921	69
2 0 4	47.53	1.913	114
3 5 2	55.87	1.646	188
1 13 2	58.09	1.588	199
1 5 6	59.20	1.561	64

Structural model:
```
data_Ac2Nd5YTm
_chemical_formula_sum 'Ac8 Nd20 Y4 Tm4'
_space_group_name_H-M_alt 'C m c m'
_space_group_IT_number 63
_space_group_name_Hall '-C 2c 2'
_cell_length_a 5.6272
_cell_length_b 22.7059
_cell_length_c 10.4367
_cell_angle_alpha 90.00
_cell_angle_beta 90.00
_cell_angle_gamma 90.00
loop_
_atom_site_label
_atom_site_type_symbol
_atom_site_fract_x
_atom_site_fract_y
_atom_site_fract_z
Ac1 Ac 0.0000 0.1163 0.0119
Nd1 Nd 0.0000 0.0024 0.7500
Nd2 Nd 0.0000 0.2781 0.0609
Nd3 Nd 0.0000 0.3779 0.7500
Nd4 Nd 0.0000 0.5000 0.0000
Y1 Y 0.0000 0.3972 0.2500
Tm1 Tm 0.0000 0.2184 0.7500
```

=====

Computed powder diffractogram of AcNd5Y3 for a wavelength of 1.5418 Å, from a structure optimized by DFT (PBE).
Neutral-atom scattering factors, no anomalous dispersion.

Peak list (12 most intense, 5 to 70 degrees two-theta, by angle)
h k l	Position (°2θ)	d (Å)	I/Imax
2 2 0	25.96	3.433	171
0 1 3	28.35	3.148	360
0 6 0	29.82	2.996	1000
2 4 0	31.25	2.862	136
2 2 2	32.06	2.791	347
2 4 2	36.56	2.458	193
0 5 3	37.67	2.388	202
2 3 3	40.14	2.246	177
4 0 0	49.04	1.857	117
2 3 5	56.10	1.639	121
0 0 6	57.63	1.599	132
4 6 0	58.48	1.578	136

Structural model:
```
data_AcNd5Y3
_chemical_formula_sum 'Ac4 Nd20 Y12'
_space_group_name_H-M_alt 'I m m a'
_space_group_IT_number 74
_space_group_name_Hall '-I 2b 2'
_cell_length_a 7.4297
_cell_length_b 17.9569
_cell_length_c 9.5930
_cell_angle_alpha 90.00
_cell_angle_beta 90.00
_cell_angle_gamma 90.00
loop_
_atom_site_label
_atom_site_type_symbol
_atom_site_fract_x
_atom_site_fract_y
_atom_site_fract_z
Ac1 Ac 0.0000 0.2500 0.1080
Nd1 Nd 0.0000 0.2500 0.4698
Nd2 Nd 0.2417 0.0828 0.4259
Y1 Y 0.0000 0.0724 0.7556
Y2 Y 0.2500 0.2500 0.7500
```

=====

Computed powder diffractogram of AcNd4Y8 for a wavelength of 1.5418 Å, from a structure optimized by DFT (PBE).
Neutral-atom scattering factors, no anomalous dispersion.

Peak list (12 most intense, 5 to 70 degrees two-theta, by angle)
h k l	Position (°2θ)	d (Å)	I/Imax
1 0 1	11.16	7.932	63
1 1 0	15.80	5.609	118
0 0 3	19.38	4.579	132
1 1 3	25.11	3.547	124
1 0 4	27.55	3.238	59
2 2 0	31.91	2.804	1000
3 0 3	33.91	2.644	49
2 2 3	37.61	2.392	71
4 0 4	45.76	1.983	178
1 0 7	47.25	1.924	53
6 0 0	56.87	1.619	363
4 4 0	66.71	1.402	109

Structural model:
```
data_AcNd4Y8
_chemical_formula_sum 'Ac3 Nd12 Y24'
_space_group_name_H-M_alt 'R -3 m'
_space_group_IT_number 166
_space_group_name_Hall '-R 3 2"'
_cell_length_a 11.2231
_cell_length_b 11.2231
_cell_length_c 13.7233
_cell_angle_alpha 90.00
_cell_angle_beta 90.00
_cell_angle_gamma 120.00
loop_
_atom_site_label
_atom_site_type_symbol
_atom_site_fract_x
_atom_site_fract_y
_atom_site_fract_z
Ac1 Ac 0.0000 0.0000 0.0000
Nd1 Nd 0.0000 0.0000 0.5000
Nd2 Nd 0.0000 0.5000 0.5000
Y1 Y 0.0000 0.0000 0.2626
Y2 Y 0.0166 0.5083 0.2454
```

=====

Computed powder diffractogram of Ac5Nd2Y2 for a wavelength of 1.5418 Å, from a structure optimized by DFT (PBE).
Neutral-atom scattering factors, no anomalous dispersion.

Peak list (12 most intense, 5 to 70 degrees two-theta, by angle)
h k l	Position (°2θ)	d (Å)	I/Imax
1 1 1	21.51	4.131	358
3 1 1	28.20	3.164	576
3 1 -2	29.42	3.036	1000
0 2 0	30.04	2.975	492
6 0 -1	30.44	2.937	239
5 1 0	30.88	2.895	280
1 1 2	31.94	2.802	149
6 2 -1	43.29	2.090	184
0 2 3	50.01	1.824	141
8 0 1	50.14	1.819	143
3 3 -2	52.96	1.729	198
6 2 -4	61.02	1.519	137

Structural model:
```
data_Ac5Nd2Y2
_chemical_formula_sum 'Ac10 Nd4 Y4'
_space_group_name_H-M_alt 'C 1 2/m 1'
_space_group_IT_number 12
_cell_length_a 17.6517
_cell_length_b 5.9495
_cell_length_c 7.3741
_cell_angle_alpha 90.00
_cell_angle_beta 110.14
_cell_angle_gamma 90.00
loop_
_space_group_symop_operation_xyz
'x,y,z'
'-x,-y,-z'
'-x,y,-z'
'x,-y,z'
'x+1/2,y+1/2,z'
'-x+1/2,-y+1/2,-z'
'-x+1/2,y+1/2,-z'
'x+1/2,-y+1/2,z'
loop_
_atom_site_label
_atom_site_type_symbol
_atom_site_fract_x
_atom_site_fract_y
_atom_site_fract_z
Ac1 Ac 0.0000 0.0000 0.0000
Ac2 Ac 0.0811 0.5000 0.3838
Ac3 Ac 0.1489 0.0000 0.7175
Nd1 Nd 0.1346 0.5000 0.9634
Y1 Y 0.2138 0.0000 0.2832
```

=====

Computed powder diffractogram of Ac4Nd8Y for a wavelength of 1.5418 Å, from a structure optimized by DFT (PBE).
Neutral-atom scattering factors, no anomalous dispersion.

Peak list (12 most intense, 5 to 70 degrees two-theta, by angle)
h k l	Position (°2θ)	d (Å)	I/Imax
0 1 2	15.26	5.805	11
0 0 3	18.72	4.740	305
1 1 3	24.24	3.672	18
2 2 0	30.80	2.903	1000
2 2 3	36.29	2.475	181
4 0 4	44.12	2.052	186
1 0 7	45.56	1.991	11
0 2 7	48.32	1.883	83
6 0 0	54.78	1.676	392
4 0 7	58.41	1.580	64
4 4 0	64.17	1.451	121
2 4 7	67.49	1.388	62

Structural model:
```
data_Ac4Nd8Y
_chemical_formula_sum 'Ac12 Nd24 Y3'
_space_group_name_H-M_alt 'R -3 m'
_space_group_IT_number 166
_space_group_name_Hall '-R 3 2"'
_cell_length_a 11.6159
_cell_length_b 11.6159
_cell_length_c 14.2070
_cell_angle_alpha 90.00
_cell_angle_beta 90.00
_cell_angle_gamma 120.00
loop_
_atom_site_label
_atom_site_type_symbol
_atom_site_fract_x
_atom_site_fract_y
_atom_site_fract_z
Ac1 Ac 0.0000 0.0000 0.0000
Ac2 Ac 0.0000 0.5000 0.0000
Nd1 Nd 0.0000 0.0000 0.2420
Nd2 Nd 0.0105 0.5052 0.7470
Y1 Y 0.0000 0.0000 0.5000
```

=====

Computed powder diffractogram of Ac4Nd4Y3 for a wavelength of 1.5418 Å, from a structure optimized by DFT (PBE).
Neutral-atom scattering factors, no anomalous dispersion.

Peak list (12 most intense, 5 to 70 degrees two-theta, by angle)
h k l	Position (°2θ)	d (Å)	I/Imax
0 1 -2	19.07	4.653	174
1 1 -1	29.27	3.051	971
0 1 6	29.92	2.986	903
0 2 1	30.46	2.934	1000
1 0 -7	41.06	2.198	131
1 -2 3	43.62	2.075	408
-1 2 8	51.97	1.760	133
1 3 0	53.38	1.716	140
0 3 7	53.79	1.704	177
1 1 10	54.21	1.692	222
2 1 -5	58.45	1.579	275
2 2 1	58.77	1.571	146

Structural model:
```
data_Ac4Nd4Y3
_chemical_formula_sum 'Ac4 Nd4 Y3'
_space_group_name_H-M_alt 'P 1'
_space_group_IT_number 1
_cell_length_a 3.7204
_cell_length_b 5.8708
_cell_length_c 19.2972
_cell_angle_alpha 81.29
_cell_angle_beta 89.91
_cell_angle_gamma 90.00
loop_
_space_group_symop_operation_xyz
'x,y,z'
loop_
_atom_site_label
_atom_site_type_symbol
_atom_site_fract_x
_atom_site_fract_y
_atom_site_fract_z
Ac1 Ac 0.0000 0.0000 0.0000
Ac2 Ac 0.0016 0.6273 0.7424
Ac3 Ac 0.5001 0.8115 0.3771
Ac4 Ac 0.5017 0.4428 0.1140
Nd1 Nd 0.0012 0.9014 0.1977
Nd2 Nd 0.4994 0.1828 0.6331
Nd3 Nd 0.5005 0.5412 0.9163
Nd4 Nd 0.9993 0.2652 0.4683
Y1 Y 0.0010 0.3565 0.2881
Y2 Y 0.5009 0.0864 0.8246
Y3 Y 0.9994 0.7217 0.5554
```

=====

Computed powder diffractogram of Ac6Nd8Y for a wavelength of 1.5418 Å, from a structure optimized by DFT (PBE).
Neutral-atom scattering factors, no anomalous dispersion.

Peak list (12 most intense, 5 to 70 degrees two-theta, by angle)
h k l	Position (°2θ)	d (Å)	I/Imax
1 1 3	22.11	4.021	106
0 1 5	22.79	3.902	86
3 -1 1	28.70	3.110	430
3 -2 2	29.54	3.024	1000
1 0 7	30.29	2.951	303
1 1 6	30.60	2.922	220
2 1 4	32.79	2.731	106
0 3 3	34.59	2.593	135
0 3 9	49.61	1.838	93
3 2 4	50.64	1.803	111
5 -1 3	51.92	1.761	161
6 -4 1	58.90	1.568	107

Structural model:
```
data_Ac6Nd8Y
_chemical_formula_sum 'Ac18 Nd24 Y3'
_space_group_name_H-M_alt 'R -3'
_space_group_IT_number 148
_space_group_name_Hall '-R 3'
_cell_length_a 9.5978
_cell_length_b 9.5978
_cell_length_c 22.0982
_cell_angle_alpha 90.00
_cell_angle_beta 90.00
_cell_angle_gamma 120.00
loop_
_atom_site_label
_atom_site_type_symbol
_atom_site_fract_x
_atom_site_fract_y
_atom_site_fract_z
Ac1 Ac 0.0509 0.2517 0.2094
Nd1 Nd 0.0000 0.0000 0.0749
Nd2 Nd 0.0817 0.5684 0.3065
Y1 Y 0.0000 0.0000 0.5000
```

=====

Computed powder diffractogram of AcNd8Y5 for a wavelength of 1.5418 Å, from a structure optimized by DFT (PBE).
Neutral-atom scattering factors, no anomalous dispersion.

Peak list (12 most intense, 5 to 70 degrees two-theta, by angle)
h k l	Position (°2θ)	d (Å)	I/Imax
0 2 0	14.05	6.303	140
3 1 -1	27.34	3.263	202
3 1 -2	28.13	3.172	449
1 3 1	28.47	3.135	422
1 1 2	30.67	2.915	1000
3 1 0	31.31	2.857	164
2 2 -3	33.40	2.683	573
3 3 -1	34.06	2.633	342
2 4 3	58.08	1.588	118
0 8 0	58.52	1.577	140
1 3 -5	59.91	1.544	152
6 4 -3	61.92	1.498	164

Structural model:
```
data_AcNd8Y5
_chemical_formula_sum 'Ac2 Nd16 Y10'
_space_group_name_H-M_alt 'C 1 2 1'
_space_group_IT_number 5
_cell_length_a 10.2473
_cell_length_b 12.6054
_cell_length_c 8.9247
_cell_angle_alpha 90.00
_cell_angle_beta 120.81
_cell_angle_gamma 90.00
loop_
_space_group_symop_operation_xyz
'x,y,z'
'-x,y,-z'
'x+1/2,y+1/2,z'
'-x+1/2,y+1/2,-z'
loop_
_atom_site_label
_atom_site_type_symbol
_atom_site_fract_x
_atom_site_fract_y
_atom_site_fract_z
Ac1 Ac 0.0000 0.0000 0.0000
Nd1 Nd 0.1078 0.7577 0.2247
Nd2 Nd 0.1097 0.1173 0.4157
Nd3 Nd 0.1274 0.5995 0.7080
Nd4 Nd 0.2103 0.5183 0.1265
Y1 Y 0.0000 0.8610 0.5000
Y2 Y 0.1240 0.3975 0.4135
Y3 Y 0.1605 0.2689 0.9693
```

=====

Computed powder diffractogram of Ac4Nd11Y9 for a wavelength of 1.5418 Å, from a structure optimized by DFT (PBE).
Neutral-atom scattering factors, no anomalous dispersion.

Peak list (12 most intense, 5 to 70 degrees two-theta, by angle)
h k l	Position (°2θ)	d (Å)	I/Imax
3 7 0	27.84	3.205	295
4 6 0	28.78	3.102	824
1 5 1	29.56	3.022	415
5 5 0	30.92	2.892	1000
0 6 1	31.11	2.875	902
4 0 1	31.89	2.806	703
0 10 0	32.99	2.715	339
5 1 1	35.82	2.507	407
0 0 2	48.93	1.862	257
5 11 1	51.88	1.762	563
9 5 1	57.04	1.615	452
5 5 2	59.01	1.565	317

Structural model:
```
data_Ac4Nd11Y9
_chemical_formula_sum 'Ac8 Nd22 Y18'
_space_group_name_H-M_alt 'C m m m'
_space_group_IT_number 65
_space_group_name_Hall '-C 2 2'
_cell_length_a 17.0823
_cell_length_b 27.1483
_cell_length_c 3.7233
_cell_angle_alpha 90.00
_cell_angle_beta 90.00
_cell_angle_gamma 90.00
loop_
_atom_site_label
_atom_site_type_symbol
_atom_site_fract_x
_atom_site_fract_y
_atom_site_fract_z
Ac1 Ac 0.1722 0.0867 0.0000
Nd1 Nd 0.0000 0.1247 0.5000
Nd2 Nd 0.0000 0.3122 0.5000
Nd3 Nd 0.0000 0.5000 0.5000
Nd4 Nd 0.2030 0.5000 0.5000
Nd5 Nd 0.2178 0.3132 0.5000
Y1 Y 0.0000 0.0000 0.0000
Y2 Y 0.1057 0.2202 0.0000
Y3 Y 0.1058 0.4051 0.0000
```

=====

Computed powder diffractogram of AcNd4Y7 for a wavelength of 1.5418 Å, from a structure optimized by DFT (PBE).
Neutral-atom scattering factors, no anomalous dispersion.

Peak list (12 most intense, 5 to 70 degrees two-theta, by angle)
h k l	Position (°2θ)	d (Å)	I/Imax
1 1 1	20.01	4.437	238
2 0 1	21.16	4.199	238
3 1 -1	26.27	3.393	408
0 2 0	29.20	3.059	1000
4 0 -1	29.77	3.001	231
4 0 -3	29.91	2.987	488
1 1 3	32.11	2.788	507
1 1 -4	32.22	2.778	464
3 1 1	32.66	2.742	409
3 1 -4	32.91	2.722	564
4 2 -3	42.29	2.137	378
1 3 3	53.67	1.708	223

Structural model:
```
data_AcNd4Y7
_chemical_formula_sum 'Ac2 Nd8 Y14'
_space_group_name_H-M_alt 'C 1 2/m 1'
_space_group_IT_number 12
_cell_length_a 12.4208
_cell_length_b 6.1175
_cell_length_c 12.8453
_cell_angle_alpha 90.00
_cell_angle_beta 118.38
_cell_angle_gamma 90.00
loop_
_space_group_symop_operation_xyz
'x,y,z'
'-x,-y,-z'
'-x,y,-z'
'x,-y,z'
'x+1/2,y+1/2,z'
'-x+1/2,-y+1/2,-z'
'-x+1/2,y+1/2,-z'
'x+1/2,-y+1/2,z'
loop_
_atom_site_label
_atom_site_type_symbol
_atom_site_fract_x
_atom_site_fract_y
_atom_site_fract_z
Ac1 Ac 0.0000 0.0000 0.0000
Nd1 Nd 0.1322 0.5000 0.7761
Nd2 Nd 0.2456 0.0000 0.6775
Y1 Y 0.0000 0.5000 0.0000
Y2 Y 0.0564 0.0000 0.3354
Y3 Y 0.1345 0.5000 0.5032
Y4 Y 0.2157 0.0000 0.9211
```

=====

Computed powder diffractogram of Ac2Nd12Y5 for a wavelength of 1.5418 Å, from a structure optimized by DFT (PBE).
Neutral-atom scattering factors, no anomalous dispersion.

Peak list (12 most intense, 5 to 70 degrees two-theta, by angle)
h k l	Position (°2θ)	d (Å)	I/Imax
0 2 0	15.01	5.902	81
2 0 -3	27.76	3.214	95
3 1 -3	29.94	2.984	142
0 4 0	30.28	2.951	389
4 2 -1	30.85	2.898	1000
2 2 -3	31.70	2.823	429
1 3 2	34.04	2.634	133
2 2 2	34.43	2.605	90
2 4 2	43.74	2.069	154
3 5 -3	48.56	1.875	118
4 6 -1	54.17	1.693	107
6 2 1	54.28	1.690	85

Structural model:
```
data_Ac2Nd12Y5
_chemical_formula_sum 'Ac4 Nd24 Y10'
_space_group_name_H-M_alt 'C 1 2/m 1'
_space_group_IT_number 12
_cell_length_a 13.4048
_cell_length_b 11.8047
_cell_length_c 9.6440
_cell_angle_alpha 90.00
_cell_angle_beta 117.32
_cell_angle_gamma 90.00
loop_
_space_group_symop_operation_xyz
'x,y,z'
'-x,-y,-z'
'-x,y,-z'
'x,-y,z'
'x+1/2,y+1/2,z'
'-x+1/2,-y+1/2,-z'
'-x+1/2,y+1/2,-z'
'x+1/2,-y+1/2,z'
loop_
_atom_site_label
_atom_site_type_symbol
_atom_site_fract_x
_atom_site_fract_y
_atom_site_fract_z
Ac1 Ac 0.0000 0.2366 0.0000
Nd1 Nd 0.0760 0.0000 0.7756
Nd2 Nd 0.1102 0.2166 0.4263
Nd3 Nd 0.1281 0.5000 0.9426
Nd4 Nd 0.1887 0.2564 0.8003
Y1 Y 0.0000 0.5000 0.5000
Y2 Y 0.1894 0.5000 0.3303
Y3 Y 0.1927 0.0000 0.2408
```